# Ag5PtBr12
Theoretical powder diffractogram, Cu Kα X-rays. Input: a PBE-relaxed structure.
Peak positions follow from Bragg's law for the DFT cell and can differ from measured ones.

Unit cell a=6.847 b=12.437 c=13.244 alpha=90.00 beta=93.30 gamma=90.00
Space group C2/m (No. 12)
One atom of each set of equivalent atoms:
Ag 0.000 0.000 0.000 [2 per cell]
Ag 0.000 0.169 0.500 [4 per cell]
Ag 0.000 0.333 0.000 [4 per cell]
Pt 0.000 0.500 0.500 [2 per cell]
Br 0.161 0.357 0.609 [8 per cell]
Br 0.181 0.167 0.883 [8 per cell]
Br 0.182 0.500 0.885 [4 per cell]
Br 0.219 0.000 0.613 [4 per cell]

Largest 10 diffraction maxima, sorted by position, 2θ = 10–90°:
| Position (°2θ) | d (Å) | I (rel.) | (hkl) |
| --- | --- | --- | --- |
| 13.4 | 6.611 | 1000 | 0 0 2 |
| 28.2 | 3.163 | 268 | 1 3 -2 |
| 28.9 | 3.086 | 338 | 1 3 2 |
| 31.9 | 2.803 | 292 | 1 3 -3 |
| 32.9 | 2.723 | 264 | 1 3 3 |
| 36.7 | 2.447 | 206 | 2 0 -4 |
| 43.3 | 2.090 | 190 | 1 3 5 |
| 43.7 | 2.073 | 168 | 0 6 0 |
| 45.6 | 1.989 | 217 | 3 3 -1 |
| 46.3 | 1.960 | 218 | 3 3 1 |

***

# Li3Bi
Theoretical powder diffractogram, Cu Kα X-rays. Input: a PBE-relaxed structure.
Peak positions follow from Bragg's law for the DFT cell and can differ from measured ones.

Unit cell a=4.8056 b=4.8056 c=8.5376 alpha=90.00 beta=90.00 gamma=120.00
Space group P6_3/mmc (No. 194)
One atom of each set of equivalent atoms:
Li 0.0000 0.0000 0.2500 [2 per cell]
Li 0.3333 0.6667 0.0878 [4 per cell]
Bi 0.3333 0.6667 0.7500 [2 per cell]

Largest 10 diffraction maxima, sorted by position, 2θ = 10–90°:
| Position (°2θ) | d (Å) | I (rel.) | (hkl) |
| --- | --- | --- | --- |
| 20.8 | 4.269 | 323 | 0 0 2 |
| 21.3 | 4.162 | 227 | 1 0 0 |
| 23.8 | 3.741 | 1000 | 1 0 1 |
| 30.0 | 2.980 | 172 | 1 0 2 |
| 37.4 | 2.403 | 260 | 1 1 0 |
| 38.3 | 2.349 | 349 | 1 0 3 |
| 43.2 | 2.094 | 306 | 1 1 2 |
| 44.8 | 2.022 | 195 | 2 0 1 |
| 59.8 | 1.547 | 170 | 2 1 1 |
| 68.1 | 1.377 | 135 | 2 1 3 |

***

# PbAu8
Theoretical powder diffractogram, Cu Kα X-rays. Input: a PBE-relaxed structure.
Peak positions follow from Bragg's law for the DFT cell and can differ from measured ones.

Unit cell a=9.159 b=9.159 c=4.136 alpha=90.00 beta=90.00 gamma=90.00
Space group I4/mmm (No. 139)
One atom of each set of equivalent atoms:
Pb 0.000 0.000 0.000 [2 per cell]
Au 0.000 0.338 0.000 [8 per cell]
Au 0.174 0.174 0.500 [8 per cell]

Largest 10 diffraction maxima, sorted by position, 2θ = 10–90°:
| Position (°2θ) | d (Å) | I (rel.) | (hkl) |
| --- | --- | --- | --- |
| 36.6 | 2.456 | 1000 | 3 0 1 |
| 41.8 | 2.159 | 343 | 3 3 0 |
| 43.8 | 2.068 | 154 | 0 0 2 |
| 58.7 | 1.573 | 7 | 5 2 1 |
| 60.7 | 1.526 | 114 | 6 0 0 |
| 62.2 | 1.493 | 216 | 3 3 2 |
| 73.0 | 1.296 | 269 | 6 3 1 |
| 75.7 | 1.256 | 126 | 3 0 3 |
| 77.8 | 1.228 | 114 | 6 0 2 |
| 89.5 | 1.095 | 5 | 7 4 1 |

***

# Na3Tl2Hg6
Theoretical powder diffractogram, Cu Kα X-rays. Input: a PBE-relaxed structure.
Peak positions follow from Bragg's law for the DFT cell and can differ from measured ones.

Unit cell a=8.971 b=16.610 c=4.181 alpha=90.00 beta=90.00 gamma=90.00
Space group Cmmm (No. 65)
One atom of each set of equivalent atoms:
Na 0.000 0.000 0.000 [2 per cell]
Na 0.000 0.269 0.500 [4 per cell]
Tl 0.221 0.500 0.500 [4 per cell]
Hg 0.000 0.406 0.000 [4 per cell]
Hg 0.182 0.163 0.000 [8 per cell]

Largest 10 diffraction maxima, sorted by position, 2θ = 10–90°:
| Position (°2θ) | d (Å) | I (rel.) | (hkl) |
| --- | --- | --- | --- |
| 21.2 | 4.181 | 443 | 0 0 1 |
| 23.8 | 3.735 | 330 | 0 2 1 |
| 30.3 | 2.946 | 1000 | 0 4 1 |
| 31.2 | 2.870 | 818 | 2 2 1 |
| 34.1 | 2.631 | 556 | 3 3 0 |
| 36.0 | 2.498 | 340 | 1 5 1 |
| 37.4 | 2.407 | 601 | 3 1 1 |
| 38.2 | 2.356 | 551 | 2 6 0 |
| 43.3 | 2.091 | 337 | 0 0 2 |
| 59.1 | 1.564 | 315 | 2 6 2 |

***

# Ho6ZnTc
Theoretical powder diffractogram, Cu Kα X-rays. Input: a PBE-relaxed structure.
Peak positions follow from Bragg's law for the DFT cell and can differ from measured ones.

Unit cell a=4.938 b=4.938 c=17.307 alpha=90.00 beta=90.00 gamma=90.00
Space group I4/mmm (No. 139)
One atom of each set of equivalent atoms:
Ho 0.000 0.000 0.249 [4 per cell]
Ho 0.000 0.500 0.097 [8 per cell]
Zn 0.000 0.000 0.500 [2 per cell]
Tc 0.000 0.000 0.000 [2 per cell]

Largest 10 diffraction maxima, sorted by position, 2θ = 10–90°:
| Position (°2θ) | d (Å) | I (rel.) | (hkl) |
| --- | --- | --- | --- |
| 27.5 | 3.238 | 224 | 1 1 2 |
| 31.0 | 2.885 | 151 | 0 0 6 |
| 33.0 | 2.717 | 1000 | 1 1 4 |
| 36.4 | 2.469 | 509 | 2 0 0 |
| 40.6 | 2.224 | 96 | 1 1 6 |
| 48.5 | 1.876 | 177 | 2 0 6 |
| 52.4 | 1.746 | 179 | 2 2 0 |
| 59.6 | 1.551 | 118 | 1 1 10 |
| 63.3 | 1.469 | 304 | 3 1 4 |
| 83.4 | 1.159 | 94 | 3 1 10 |

***

# Ba2In2As2O
Theoretical powder diffractogram, Cu Kα X-rays. Input: a PBE-relaxed structure.
Peak positions follow from Bragg's law for the DFT cell and can differ from measured ones.

Unit cell a=4.339 b=7.229 c=7.380 alpha=63.60 beta=73.08 gamma=72.76
Space group P-1 (No. 2)
One atom of each set of equivalent atoms:
Ba 0.060 0.181 0.202 [2 per cell]
In 0.307 0.287 0.599 [2 per cell]
As 0.342 0.619 0.198 [2 per cell]
O 0.500 0.000 0.500 [1 per cell]

Largest 10 diffraction maxima, sorted by position, 2θ = 10–90°:
| Position (°2θ) | d (Å) | I (rel.) | (hkl) |
| --- | --- | --- | --- |
| 25.4 | 3.501 | 273 | 0 1 2 |
| 26.0 | 3.433 | 271 | 0 2 1 |
| 28.1 | 3.176 | 320 | 0 2 0 |
| 28.2 | 3.159 | 364 | 1 -1 0 |
| 28.4 | 3.148 | 353 | 1 2 1 |
| 30.8 | 2.899 | 429 | -1 1 1 |
| 31.0 | 2.887 | 434 | 1 2 2 |
| 31.9 | 2.807 | 1000 | 1 0 2 |
| 36.0 | 2.493 | 340 | 0 2 -1 |
| 41.6 | 2.169 | 466 | 2 1 1 |

***

Repeat the second record exactly.
# Li3Bi
Theoretical powder diffractogram, Cu Kα X-rays. Input: a PBE-relaxed structure.
Peak positions follow from Bragg's law for the DFT cell and can differ from measured ones.

Unit cell a=4.8056 b=4.8056 c=8.5376 alpha=90.00 beta=90.00 gamma=120.00
Space group P6_3/mmc (No. 194)
One atom of each set of equivalent atoms:
Li 0.0000 0.0000 0.2500 [2 per cell]
Li 0.3333 0.6667 0.0878 [4 per cell]
Bi 0.3333 0.6667 0.7500 [2 per cell]

Largest 10 diffraction maxima, sorted by position, 2θ = 10–90°:
| Position (°2θ) | d (Å) | I (rel.) | (hkl) |
| --- | --- | --- | --- |
| 20.8 | 4.269 | 323 | 0 0 2 |
| 21.3 | 4.162 | 227 | 1 0 0 |
| 23.8 | 3.741 | 1000 | 1 0 1 |
| 30.0 | 2.980 | 172 | 1 0 2 |
| 37.4 | 2.403 | 260 | 1 1 0 |
| 38.3 | 2.349 | 349 | 1 0 3 |
| 43.2 | 2.094 | 306 | 1 1 2 |
| 44.8 | 2.022 | 195 | 2 0 1 |
| 59.8 | 1.547 | 170 | 2 1 1 |
| 68.1 | 1.377 | 135 | 2 1 3 |

***

Number 5 is which compound? Ho6ZnTc